This entry pairs a crystal structure of Na4Sc2Si2SO12 with its simulated powder diffraction line list. Radiation: Cu Kα (weighted mean of Kα1 and Kα2). Structure: a structure optimized by DFT (GGA-PBE).
No peak broadening, texture or thermal motion is included.

Structural model:
```
Na4Sc2Si2SO12
1.0
7.945 -4.625 0.000
7.945 4.625 0.000
-5.294 0.000 7.513
Na Sc Si S O
8 4 4 2 24
direct
0.054 0.946 0.500
0.165 0.699 0.102
0.283 0.433 0.721
0.433 0.283 0.221
0.582 0.828 0.371
0.699 0.165 0.602
0.828 0.582 0.871
0.946 0.054 0.000
0.043 0.543 0.271
0.327 0.858 0.975
0.543 0.043 0.771
0.858 0.327 0.475
0.142 0.241 0.869
0.241 0.142 0.369
0.736 0.940 0.164
0.940 0.736 0.664
0.440 0.646 0.573
0.646 0.440 0.073
0.064 0.169 0.395
0.119 0.746 0.843
0.121 0.423 0.043
0.169 0.064 0.895
0.208 0.319 0.337
0.266 0.956 0.199
0.281 0.629 0.408
0.319 0.208 0.837
0.411 0.669 0.729
0.423 0.121 0.543
0.472 0.802 0.601
0.480 0.592 0.043
0.563 0.901 0.128
0.592 0.480 0.543
0.629 0.281 0.908
0.669 0.411 0.229
0.707 0.969 0.988
0.746 0.119 0.343
0.772 0.922 0.692
0.802 0.472 0.101
0.901 0.563 0.628
0.922 0.772 0.192
0.956 0.266 0.699
0.969 0.707 0.488
```

Top 8 peaks for 15° ≤ 2θ ≤ 90°, low angle first:
d_spacing, 2theta, I_rel
4.596, 19.31, 32
3.929, 22.63, 49
3.746, 23.75, 17
2.994, 29.84, 21
2.908, 30.75, 100
2.666, 33.61, 37
2.656, 33.75, 20
1.962, 46.28, 30